(1)
Structure and theoretical powder diffraction line list of AcH5Pd4 (a DFT-relaxed cell (GGA-PBE, Alexandria); a wavelength of 1.5418 Å).

Peak list (10 most intense, 2θ = 10–80°, by intensity)
- 37.28°, rel. 100, (1 2 -1)
- 36.58°, rel. 52, (0 1 3)
- 38.06°, rel. 50, (1 2 1)
- 30.47°, rel. 50, (1 1 -2)
- 32.22°, rel. 41, (1 1 2)
- 19.27°, rel. 33, (0 1 1)
- 35.67°, rel. 33, (2 1 0)
- 21.63°, rel. 31, (0 0 2)
- 67.13°, rel. 31, (3 2 -3)
- 15.70°, rel. 31, (1 0 0)

a b c (Å): 5.662 5.564 8.242
angles (deg): 90.00 94.49 90.00
Space group P2_1/m (No. 11)
Unique sites:
1 Ac 0.199 0.250 0.215
2 H 0.191 0.521 0.941
3 H 0.267 0.750 0.255
4 H 0.295 0.015 0.533
5 Pd 0.290 0.001 0.751
6 Pd 0.356 0.750 0.053
7 Pd 0.438 0.750 0.460

(2)
Structure and theoretical powder diffraction line list of Ac2H9Pd3 (a DFT-relaxed cell (GGA-PBE, Alexandria); a wavelength of 1.5418 Å).

Peak list (10 most intense, 2θ = 10–80°, by intensity)
- 31.37°, rel. 100, (2 2 1)
- 21.21°, rel. 69, (2 0 0)
- 30.30°, rel. 63, (1 1 -3)
- 33.64°, rel. 59, (1 3 1)
- 27.19°, rel. 58, (0 2 2)
- 26.71°, rel. 55, (2 0 -2)
- 24.20°, rel. 54, (1 1 2)
- 14.53°, rel. 52, (1 1 0)
- 22.00°, rel. 50, (0 2 1)
- 34.24°, rel. 48, (0 2 3)

a b c (Å): 8.418 8.883 9.772
angles (deg): 90.00 95.55 90.00
Space group C2/c (No. 15)
Unique sites:
1 Ac 0.246 0.073 0.300
2 H 0.000 0.167 0.250
3 H 0.051 0.302 0.897
4 H 0.129 0.058 0.021
5 H 0.174 0.303 0.148
6 H 0.248 0.346 0.379
7 Pd 0.056 0.132 0.566
8 Pd 0.250 0.250 0.000

(3)
Structure and theoretical powder diffraction line list of AcH7Pd4 (a DFT-relaxed cell (GGA-PBE, Alexandria); a wavelength of 1.5418 Å).

Peak list (10 most intense, 2θ = 10–80°, by intensity)
- 32.53°, rel. 100, (2 1 1)
- 39.81°, rel. 34, (0 0 2)
- 29.56°, rel. 30, (3 1 0)
- 38.19°, rel. 30, (5 0 1)
- 27.64°, rel. 27, (3 0 1)
- 39.65°, rel. 20, (5 1 0)
- 45.25°, rel. 19, (0 2 0)
- 60.66°, rel. 15, (5 2 1)
- 61.82°, rel. 15, (0 2 2)
- 75.90°, rel. 14, (10 1 1)

a b c (Å): 13.798 4.008 4.529
angles (deg): 90.00 90.00 90.00
Space group Pmn2_1 (No. 31)
Unique sites:
1 Ac 0.000 0.249 0.000
2 H 0.000 0.748 0.671
3 H 0.120 0.749 0.057
4 H 0.123 0.249 0.481
5 H 0.237 0.752 0.569
6 Pd 0.106 0.749 0.472
7 Pd 0.245 0.750 0.982

(4)
Structure and theoretical powder diffraction line list of AcH5Pd2 (a DFT-relaxed cell (GGA-PBE, Alexandria); a wavelength of 1.5418 Å).

Peak list (10 most intense, 2θ = 10–80°, by intensity)
- 32.11°, rel. 100, (1 0 3)
- 33.50°, rel. 45, (1 1 0)
- 59.01°, rel. 35, (2 1 3)
- 56.35°, rel. 19, (1 1 6)
- 14.32°, rel. 18, (0 0 2)
- 48.10°, rel. 17, (2 0 0)
- 67.16°, rel. 11, (2 0 6)
- 43.92°, rel. 10, (0 0 6)
- 24.61°, rel. 9, (1 0 1)
- 70.36°, rel. 9, (2 2 0)

a b c (Å): 3.783 3.783 12.368
angles (deg): 90.00 90.00 90.00
Space group I4/mmm (No. 139)
Unique sites:
1 Ac 0.000 0.000 0.000
2 H 0.000 0.000 0.500
3 H 0.000 0.500 0.150
4 Pd 0.000 0.000 0.346

(5)
Structure and theoretical powder diffraction line list of AcH3Pd (a DFT-relaxed cell (GGA-PBE, Alexandria); a wavelength of 1.5418 Å).

Peak list (10 most intense, 2θ = 10–80°, by intensity)
- 38.76°, rel. 100, (1 0 3)
- 24.14°, rel. 98, (1 0 1)
- 30.88°, rel. 95, (1 1 0)
- 20.99°, rel. 56, (0 0 2)
- 60.25°, rel. 56, (2 1 3)
- 37.64°, rel. 52, (1 1 2)
- 44.24°, rel. 37, (2 0 0)
- 51.03°, rel. 27, (2 1 1)
- 49.45°, rel. 24, (2 0 2)
- 59.04°, rel. 20, (1 0 5)

a b c (Å): 4.095 4.095 8.466
angles (deg): 90.00 90.00 90.00
Space group I4mm (No. 107)
Unique sites:
1 Ac 0.000 0.000 0.000
2 H 0.000 0.000 0.438
3 H 0.000 0.500 0.191
4 Pd 0.000 0.000 0.644

(6)
Structure and theoretical powder diffraction line list of AcH11Pd5 (a DFT-relaxed cell (GGA-PBE, Alexandria); a wavelength of 1.5418 Å).

Peak list (10 most intense, 2θ = 10–80°, by intensity)
- 32.40°, rel. 100, (2 2 0)
- 36.95°, rel. 88, (1 3 -1)
- 31.11°, rel. 55, (1 1 1)
- 31.43°, rel. 46, (3 1 -1)
- 30.10°, rel. 41, (2 2 -1)
- 16.04°, rel. 40, (1 1 0)
- 33.87°, rel. 39, (2 0 -2)
- 29.94°, rel. 34, (0 2 1)
- 37.82°, rel. 30, (3 1 -2)
- 62.60°, rel. 29, (3 3 -3)

a b c (Å): 9.102 8.217 5.294
angles (deg): 90.00 124.87 90.00
Space group Cm (No. 8)
Unique sites:
1 Ac 0.000 0.000 0.000
2 H 0.112 0.303 0.877
3 H 0.149 0.500 0.156
4 H 0.201 0.359 0.518
5 H 0.253 0.000 0.915
6 H 0.304 0.133 0.486
7 H 0.388 0.232 0.116
8 H 0.460 0.500 0.456
9 Pd 0.211 0.187 0.723
10 Pd 0.299 0.322 0.307
11 Pd 0.493 0.000 0.745

(7)
Structure and theoretical powder diffraction line list of AcH7Pd5 (a DFT-relaxed cell (GGA-PBE, Alexandria); a wavelength of 1.5418 Å).

Peak list (10 most intense, 2θ = 10–80°, by intensity)
- 34.26°, rel. 100, (1 3 -1)
- 39.46°, rel. 55, (1 3 1)
- 35.91°, rel. 44, (0 0 2)
- 32.31°, rel. 42, (2 0 0)
- 29.09°, rel. 26, (1 1 1)
- 40.20°, rel. 26, (2 0 -2)
- 37.41°, rel. 25, (2 2 0)
- 25.63°, rel. 23, (0 2 1)
- 36.76°, rel. 22, (2 2 -1)
- 60.31°, rel. 17, (2 2 2)

a b c (Å): 5.843 9.665 5.273
angles (deg): 90.00 108.47 90.00
Space group Cm (No. 8)
Unique sites:
1 Ac 0.000 0.000 0.000
2 H 0.027 0.500 0.911
3 H 0.126 0.000 0.549
4 H 0.137 0.500 0.349
5 H 0.389 0.279 0.285
6 H 0.444 0.246 0.796
7 Pd 0.018 0.348 0.102
8 Pd 0.131 0.209 0.593
9 Pd 0.449 0.000 0.548

(8)
Structure and theoretical powder diffraction line list of AcH2Pd6 (a DFT-relaxed cell (GGA-PBE, Alexandria); a wavelength of 1.5418 Å).

Peak list (10 most intense, 2θ = 10–80°, by intensity)
- 34.44°, rel. 100, (4 0 0)
- 37.64°, rel. 87, (3 3 1)
- 28.42°, rel. 47, (3 1 1)
- 45.24°, rel. 42, (3 3 3)
- 49.51°, rel. 41, (4 4 0)
- 55.82°, rel. 29, (6 2 0)
- 69.30°, rel. 25, (7 3 1)
- 74.58°, rel. 24, (7 3 3)
- 77.81°, rel. 23, (6 6 0)
- 58.07°, rel. 13, (5 3 3)

a b c (Å): 10.416 10.416 10.416
angles (deg): 90.00 90.00 90.00
Space group Fd-3m (No. 227, origin choice 2)
Unique sites:
1 Ac 0.125 0.125 0.125
2 H 0.000 0.000 0.500
3 Pd 0.070 0.375 0.875

(9)
Structure and theoretical powder diffraction line list of AcH8Pd2Pt (a DFT-relaxed cell (GGA-PBE, Alexandria); a wavelength of 1.5418 Å).

Peak list (10 most intense, 2θ = 10–80°, by intensity)
- 29.19°, rel. 100, (1 0 4)
- 36.96°, rel. 61, (1 1 0)
- 47.77°, rel. 26, (0 2 4)
- 61.89°, rel. 24, (2 1 4)
- 23.36°, rel. 20, (0 1 2)
- 46.13°, rel. 19, (0 1 8)
- 48.39°, rel. 12, (1 1 6)
- 66.60°, rel. 11, (3 0 0)
- 73.08°, rel. 10, (1 2 8)
- 60.53°, rel. 9, (2 0 8)

a b c (Å): 4.8641 4.8641 17.8032
angles (deg): 90.00 90.00 120.00
Space group R-3 (No. 148, hexagonal axes)
Unique sites:
1 Ac 0.0000 0.0000 0.0000
2 H 0.0000 0.0000 0.3192
3 H 0.0204 0.7133 0.5531
4 Pd 0.0000 0.0000 0.2253
5 Pt 0.0000 0.0000 0.5000

(10)
Structure and theoretical powder diffraction line list of AcH6Pd2Ru (a DFT-relaxed cell (GGA-PBE, Alexandria); a wavelength of 1.5418 Å).

Peak list (10 most intense, 2θ = 10–80°, by intensity)
- 33.30°, rel. 100, (1 2 1)
- 37.85°, rel. 23, (0 0 2)
- 36.40°, rel. 15, (2 0 0)
- 41.53°, rel. 15, (0 4 0)
- 65.47°, rel. 14, (1 2 3)
- 57.43°, rel. 12, (0 4 2)
- 70.54°, rel. 11, (1 6 1)
- 53.52°, rel. 10, (2 0 2)
- 56.38°, rel. 9, (2 4 0)
- 69.93°, rel. 9, (2 4 2)

a b c (Å): 4.936 8.699 4.755
angles (deg): 90.00 90.00 90.00
Space group Pnnm (No. 58)
Unique sites:
1 Ac 0.000 0.000 0.000
2 H 0.129 0.346 0.221
3 H 0.186 0.090 0.500
4 Pd 0.077 0.746 0.500
5 Ru 0.000 0.500 0.000

(11)
Structure and theoretical powder diffraction line list of SrAcH6Pd4 (a DFT-relaxed cell (GGA-PBE, Alexandria); a wavelength of 1.5418 Å).

Peak list (10 most intense, 2θ = 10–80°, by intensity)
- 31.46°, rel. 100, (1 0 2)
- 35.90°, rel. 80, (1 1 0)
- 11.74°, rel. 42, (0 0 1)
- 48.47°, rel. 30, (2 0 2)
- 61.76°, rel. 29, (2 1 2)
- 41.55°, rel. 17, (1 0 3)
- 37.89°, rel. 17, (1 1 1)
- 64.52°, rel. 14, (3 0 0)
- 61.63°, rel. 14, (1 1 4)
- 73.33°, rel. 11, (1 1 5)

a b c (Å): 5.0035 5.0035 7.5361
angles (deg): 90.00 90.00 120.00
Space group P6/mmm (No. 191)
Unique sites:
1 Sr 0.0000 0.0000 0.0000
2 Ac 0.0000 0.0000 0.5000
3 H 0.0000 0.5000 0.1636
4 Pd 0.3333 0.6667 0.2964